Computed powder diffractogram of NaMnBiWO6 for Cu Ka, from a cell relaxed with GGA+U.
Lines closer than 0.1° are merged.

Main lines, low angle first (2θ = 5–70°):
two_theta  Rel. int.
19.08  58
22.06  1
31.40  100
37.00  33
38.71  2
45.00  31
49.30  15
55.90  40
59.62  12
65.54  19
68.95  12

Cell and atoms:
Cell lengths 5.698, 5.698, 5.698 Å; angles 60.00, 60.00, 60.00 degrees
Sites, in units of the cell vectors:
Na 0.000 0.000 0.000
Mn 0.750 0.750 0.750
Bi 0.500 0.500 0.500
W 0.250 0.250 0.250
O 0.010 0.010 0.490
O 0.010 0.490 0.010
O 0.010 0.490 0.490
O 0.490 0.010 0.010
O 0.490 0.010 0.490
O 0.490 0.490 0.010

Computed powder diffractogram of Na2NiPCO7 for Cu Ka, from a cell relaxed with GGA+U.
Lines closer than 0.1° are merged.

Main lines, low angle first (2θ = 5–70°):
two_theta  Rel. int.
9.96  100
16.65  19
16.77  18
19.73  13
20.16  17
26.20  26
26.95  42
33.71  20
33.90  27
34.60  12
34.88  27
55.55  14

Cell and atoms:
Cell lengths 6.617, 8.880, 10.293 Å; angles 88.61, 89.71, 89.55 degrees
Sites, in units of the cell vectors:
Na 0.000 0.000 0.000
Na 0.004 0.984 0.499
Na 0.471 0.984 0.499
Na 0.479 0.999 0.002
Na 0.503 0.503 0.240
Na 0.721 0.338 0.527
Na 0.968 0.511 0.756
Na 0.981 0.501 0.236
Ni 0.242 0.593 0.516
Ni 0.246 0.599 0.010
Ni 0.738 0.897 0.732
Ni 0.742 0.901 0.233
P 0.239 0.823 0.762
P 0.240 0.826 0.265
P 0.740 0.666 0.476
P 0.742 0.674 0.981
C 0.236 0.319 0.478
C 0.241 0.325 0.979
C 0.740 0.177 0.270
C 0.743 0.172 0.764
O 0.052 0.923 0.728
O 0.054 0.925 0.229
O 0.231 0.672 0.692
O 0.236 0.179 0.461
O 0.236 0.377 0.592
O 0.238 0.184 0.966
O 0.238 0.789 0.415
O 0.239 0.419 0.383
O 0.240 0.422 0.883
O 0.240 0.674 0.193
O 0.240 0.790 0.913
O 0.246 0.387 0.093
O 0.426 0.918 0.724
O 0.429 0.921 0.230
O 0.550 0.569 0.499
O 0.555 0.580 0.021
O 0.737 0.078 0.862
O 0.737 0.108 0.650
O 0.738 0.081 0.369
O 0.738 0.817 0.548
O 0.739 0.117 0.157
O 0.742 0.319 0.288
O 0.744 0.827 0.049
O 0.745 0.708 0.831
O 0.752 0.704 0.326
O 0.754 0.313 0.770
O 0.923 0.565 0.515
O 0.930 0.575 0.015

Computed powder diffractogram of LiMnP3HO10 for Cu Ka, from a cell relaxed with GGA+U.
Lines closer than 0.1° are merged.

Main lines, low angle first (2θ = 5–70°):
two_theta  Rel. int.
14.86  100
17.75  11
20.40  6
24.00  5
25.74  9
29.34  14
29.44  12
29.94  18
30.08  8
35.94  5
43.78  6
48.51  5

Cell and atoms:
Cell lengths 6.253, 6.253, 6.504 Å; angles 107.32, 107.32, 85.85 degrees
Sites, in units of the cell vectors:
Li 0.000 0.000 0.000
Mn 0.663 0.337 0.500
P 0.199 0.446 0.605
P 0.554 0.801 0.395
P 0.571 0.429 0.000
H 0.239 0.761 0.500
O 0.189 0.702 0.643
O 0.298 0.811 0.357
O 0.311 0.408 0.851
O 0.342 0.329 0.450
O 0.592 0.689 0.149
O 0.597 0.272 0.140
O 0.671 0.658 0.550
O 0.681 0.021 0.482
O 0.728 0.403 0.860
O 0.979 0.319 0.518